Entry 1:
Theoretical X-ray diffraction stick pattern of VS2NO8 for a wavelength of 1.5418 Å, from a crystal structure in the Materials Project, relaxed with GGA+U.
Neutral-atom scattering factors, no anomalous dispersion.

Structural model:
a = 5.121 Å, b = 5.121 Å, c = 8.384 Å
α = 90.00°, β = 90.00°, γ = 120.00°
Fractional coordinates of all 12 atoms:
V1 0.000 0.000 0.000
S1 0.333 0.667 0.205
S2 0.667 0.333 0.795
N1 0.000 0.000 0.500
O1 0.161 0.354 0.137
O2 0.193 0.839 0.137
O3 0.333 0.667 0.375
O4 0.354 0.161 0.863
O5 0.646 0.807 0.137
O6 0.667 0.333 0.625
O7 0.807 0.646 0.863
O8 0.839 0.193 0.863

Principal peaks in the range 2θ = 10–90°, by intensity:
- 2θ 22.68, rel. 100.0, hkl 0 1 1
- 2θ 10.55, rel. 75.0, hkl 0 0 1
- 2θ 29.32, rel. 37.3, hkl 0 1 2
- 2θ 35.04, rel. 20.3, hkl 1 1 0
- 2θ 46.32, rel. 15.0, hkl 0 2 2
- 2θ 55.93, rel. 11.3, hkl 1 2 1


Entry 2:
Theoretical X-ray diffraction stick pattern of TmWO5 for a wavelength of 1.5418 Å, from a crystal structure in the Materials Project, relaxed with GGA+U.
Neutral-atom scattering factors, no anomalous dispersion.

Structural model:
a = 5.274 Å, b = 12.548 Å, c = 6.893 Å
α = 90.00°, β = 116.90°, γ = 90.00°
Fractional coordinates of all 28 atoms:
Tm1 0.141 0.055 0.286
Tm2 0.141 0.445 0.786
Tm3 0.859 0.555 0.214
Tm4 0.859 0.945 0.714
W1 0.395 0.139 0.847
W2 0.395 0.361 0.347
W3 0.605 0.639 0.653
W4 0.605 0.861 0.153
O1 0.010 0.085 0.557
O2 0.010 0.415 0.057
O3 0.199 0.064 0.972
O4 0.199 0.436 0.472
O5 0.262 0.649 0.417
O6 0.262 0.851 0.917
O7 0.293 0.224 0.291
O8 0.293 0.276 0.791
O9 0.485 0.572 0.846
O10 0.485 0.928 0.346
O11 0.515 0.072 0.654
O12 0.515 0.428 0.154
O13 0.707 0.724 0.209
O14 0.707 0.776 0.709
O15 0.738 0.149 0.083
O16 0.738 0.351 0.583
O17 0.801 0.564 0.528
O18 0.801 0.936 0.028
O19 0.990 0.585 0.943
O20 0.990 0.915 0.443

Principal peaks in the range 2θ = 10–90°, by intensity:
- 2θ 32.06, rel. 100.0, hkl 1 2 1
- 2θ 20.17, rel. 82.7, hkl 1 1 0
- 2θ 27.86, rel. 75.6, hkl 1 3 -1
- 2θ 22.81, rel. 61.6, hkl 1 2 -1
- 2θ 27.47, rel. 53.4, hkl 1 1 -2
- 2θ 14.12, rel. 52.4, hkl 0 2 0


Q: Which formula does entry 1 have?
A: VS2NO8